Entry 1:
Diffraction record for La2DyTe2Se2. The X-ray powder pattern is computed, not measured: it uses a PBE-relaxed structure and Cu Kα X-rays.
Peak positions follow from Bragg's law for the DFT cell and can differ from measured ones.

Principal peaks in the range 2θ = 10–80°, by intensity:
hkl  2theta  intensity
1 0 5  32.29  100
2 0 0  33.66  86
1 1 0  23.63  81
2 1 5  47.34  69
2 2 0  48.35  31
0 0 2  10.90  26
3 0 5  59.37  25
1 1 4  32.44  22

Crystal structure
```
data_La2DyTe2Se2
_cell_length_a 5.3248
_cell_length_b 5.3248
_cell_length_c 16.2337
_cell_angle_alpha 90.00
_cell_angle_beta 90.00
_cell_angle_gamma 90.00
_space_group_name_H-M_alt 'I 4/m m m'
_space_group_IT_number 139
_space_group_name_Hall '-I 4 2'
loop_
_atom_site_label
_atom_site_type_symbol
_atom_site_fract_x
_atom_site_fract_y
_atom_site_fract_z
La1 La 0.0000 0.0000 0.1188
Dy1 Dy 0.0000 0.0000 0.5000
Te1 Te 0.0000 0.0000 0.3149
Se1 Se 0.0000 0.5000 0.0000
```

=====

Entry 2:
Diffraction record for Cs3Sb2Te4. The X-ray powder pattern is computed, not measured: it uses a PBE-relaxed structure and Cu Kα X-rays.
Peak positions follow from Bragg's law for the DFT cell and can differ from measured ones.

Principal peaks in the range 2θ = 10–80°, by intensity:
hkl  2theta  intensity
5 1 0  26.00  100
3 3 1  31.06  84
1 1 1  13.20  79
0 2 2  24.45  69
1 1 3  28.27  66
4 2 -1  27.28  66
2 2 -1  21.38  62
5 3 2  40.36  36

Crystal structure
```
data_Cs3Sb2Te4
_cell_length_a 18.1533
_cell_length_b 10.4392
_cell_length_c 10.1646
_cell_angle_alpha 90.00
_cell_angle_beta 91.66
_cell_angle_gamma 90.00
_space_group_name_H-M_alt 'C 1 2/c 1'
_space_group_IT_number 15
loop_
_space_group_symop_operation_xyz
'x,y,z'
'-x,-y,-z'
'-x,y,-z+1/2'
'x,-y,z+1/2'
'x+1/2,y+1/2,z'
'-x+1/2,-y+1/2,-z'
'-x+1/2,y+1/2,-z+1/2'
'x+1/2,-y+1/2,z+1/2'
loop_
_atom_site_label
_atom_site_type_symbol
_atom_site_fract_x
_atom_site_fract_y
_atom_site_fract_z
Cs1 Cs 0.0000 0.0292 0.2500
Cs2 Cs 0.1338 0.3860 0.8855
Sb1 Sb 0.1983 0.1475 0.5442
Te1 Te 0.0657 0.2755 0.5221
Te2 Te 0.2088 0.0330 0.8375
```

=====

Entry 3:
Diffraction record for Dy3In2. The X-ray powder pattern is computed, not measured: it uses a PBE-relaxed structure and Cu Kα X-rays.
Peak positions follow from Bragg's law for the DFT cell and can differ from measured ones.

Principal peaks in the range 2θ = 10–80°, by intensity:
hkl  2theta  intensity
0 1 3  32.20  100
1 1 2  28.67  91
4 0 2  31.27  82
2 0 4  31.95  79
2 1 2  31.14  70
3 1 2  34.90  53
3 1 1  32.53  44
0 2 0  48.62  43

Crystal structure
```
data_Dy3In2
_cell_length_a 12.8849
_cell_length_b 3.7451
_cell_length_c 12.4426
_cell_angle_alpha 90.00
_cell_angle_beta 90.00
_cell_angle_gamma 90.00
_space_group_name_H-M_alt 'P n m a'
_space_group_IT_number 62
loop_
_space_group_symop_operation_xyz
'x,y,z'
'-x,-y,-z'
'-x+1/2,-y,z+1/2'
'x+1/2,y,-z+1/2'
'x+1/2,-y+1/2,-z+1/2'
'-x+1/2,y+1/2,z+1/2'
'-x,y+1/2,-z'
'x,-y+1/2,z'
loop_
_atom_site_label
_atom_site_type_symbol
_atom_site_fract_x
_atom_site_fract_y
_atom_site_fract_z
Dy1 Dy 0.0360 0.2500 0.1217
Dy2 Dy 0.1273 0.7500 0.5344
Dy3 Dy 0.2376 0.2500 0.7641
In1 In 0.0054 0.7500 0.3171
In2 In 0.1840 0.7500 0.9871
```

=====

Entry 4:
Diffraction record for MgH4Ir2. The X-ray powder pattern is computed, not measured: it uses a PBE-relaxed structure and Cu Kα X-rays.
Peak positions follow from Bragg's law for the DFT cell and can differ from measured ones.

Principal peaks in the range 2θ = 10–80°, by intensity:
hkl  2theta  intensity
2 0 -1  39.26  100
0 0 1  25.52  80
2 0 0  29.91  55
0 2 0  29.33  55
2 2 0  42.39  55
2 0 1  40.16  32
2 2 -1  49.75  26
2 2 1  50.50  25

Crystal structure
```
data_MgH4Ir2
_cell_length_a 5.9757
_cell_length_b 6.0906
_cell_length_c 3.4919
_cell_angle_alpha 90.00
_cell_angle_beta 91.26
_cell_angle_gamma 90.00
_space_group_name_H-M_alt 'C 1 m 1'
_space_group_IT_number 8
loop_
_space_group_symop_operation_xyz
'x,y,z'
'x,-y,z'
'x+1/2,y+1/2,z'
'x+1/2,-y+1/2,z'
loop_
_atom_site_label
_atom_site_type_symbol
_atom_site_fract_x
_atom_site_fract_y
_atom_site_fract_z
Mg1 Mg 0.0000 0.0000 0.0000
H1 H 0.1872 0.5000 0.3492
H2 H 0.2976 0.2078 0.0046
H3 H 0.4217 0.0000 0.5460
Ir1 Ir 0.2641 0.2376 0.5023
```